Simulated powder diffraction line list of Lu2NiGe6 for Cu Kα X-rays, from DFT lattice parameters and positions (GGA-PBE).
Peak positions follow from Bragg's law for the DFT cell and can differ from measured ones.

Atomic structure:
Cell: 4.002 10.761 10.761 Å, 21.33 90.00 90.00°
Sites, in units of the cell vectors:
Lu 0.000 0.000 0.000
Lu 0.000 0.337 0.337
Ni 0.500 0.780 0.780
Ge 0.000 0.603 0.603
Ge 0.000 0.722 0.722
Ge 0.500 0.102 0.102
Ge 0.500 0.221 0.221
Ge 0.500 0.463 0.463
Ge 0.500 0.887 0.887

Main lines, in order of rising 2θ (15° ≤ 2θ ≤ 90°):
2θ (°), d [Å], Rel. int.
33.90, 2.645, 38
34.21, 2.621, 100
38.33, 2.348, 24
45.32, 2.001, 23
45.55, 1.991, 22
57.99, 1.590, 22

---

Simulated powder diffraction line list of ZnCrCu3Se4 for Cu Kα X-rays, from DFT lattice parameters and positions (GGA-PBE).
Peak positions follow from Bragg's law for the DFT cell and can differ from measured ones.

Atomic structure:
Cell: 5.707 5.707 5.707 Å, 90.00 90.00 90.00°
Sites, in units of the cell vectors:
Zn 0.000 0.000 0.000
Cr 0.500 0.500 0.500
Cu 0.000 0.500 0.500
Cu 0.500 0.000 0.500
Cu 0.500 0.500 0.000
Se 0.253 0.253 0.747
Se 0.253 0.747 0.253
Se 0.747 0.253 0.253
Se 0.747 0.747 0.747

Main lines, in order of rising 2θ (15° ≤ 2θ ≤ 90°):
2θ (°), d [Å], Rel. int.
27.06, 3.295, 98
44.93, 2.018, 100
53.24, 1.721, 43
65.42, 1.427, 15
72.15, 1.309, 17
82.87, 1.165, 31

---

Simulated powder diffraction line list of Rb2Pt3S4 for Cu Kα X-rays, from DFT lattice parameters and positions (GGA-PBE).
Peak positions follow from Bragg's law for the DFT cell and can differ from measured ones.

Atomic structure:
Cell: 8.644 7.415 6.397 Å, 77.10 56.73 46.16°
Sites, in units of the cell vectors:
Rb 0.151 0.151 0.849
Rb 0.849 0.849 0.151
Pt 0.000 0.000 0.500
Pt 0.500 0.500 0.000
Pt 0.500 0.500 0.500
S 0.221 0.557 0.443
S 0.443 0.779 0.221
S 0.557 0.221 0.779
S 0.779 0.443 0.557

Main lines, in order of rising 2θ (15° ≤ 2θ ≤ 90°):
2θ (°), d [Å], Rel. int.
25.59, 3.481, 81
31.95, 2.801, 100
34.56, 2.595, 63
34.74, 2.582, 89
42.15, 2.144, 52
52.59, 1.740, 61

---

Simulated powder diffraction line list of SrU for Cu Kα X-rays, from DFT lattice parameters and positions (GGA-PBE).
Peak positions follow from Bragg's law for the DFT cell and can differ from measured ones.

Atomic structure:
Cell: 11.559 11.559 11.559 Å, 17.12 17.12 17.12°
Sites, in units of the cell vectors:
Sr 0.000 0.000 0.000
U 0.758 0.758 0.758

Main lines, in order of rising 2θ (15° ≤ 2θ ≤ 90°):
2θ (°), d [Å], Rel. int.
15.56, 5.694, 37
23.44, 3.796, 55
30.10, 2.969, 71
31.80, 2.814, 100
32.78, 2.732, 64
36.78, 2.444, 67

---

Simulated powder diffraction line list of SrLiP for Cu Kα X-rays, from DFT lattice parameters and positions (GGA-PBE).
Peak positions follow from Bragg's law for the DFT cell and can differ from measured ones.

Atomic structure:
Cell: 4.295 4.295 4.258 Å, 90.00 90.00 120.00°
Sites, in units of the cell vectors:
Sr 0.000 0.000 0.000
Li 0.333 0.667 0.500
P 0.667 0.333 0.500

Main lines, in order of rising 2θ (15° ≤ 2θ ≤ 90°):
2θ (°), d [Å], Rel. int.
23.92, 3.720, 48
31.95, 2.801, 100
42.07, 2.148, 30
53.78, 1.704, 22
61.31, 1.512, 19
70.54, 1.335, 19

---

Simulated powder diffraction line list of SmGa2Co3 for Cu Kα X-rays, from DFT lattice parameters and positions (GGA-PBE).
Peak positions follow from Bragg's law for the DFT cell and can differ from measured ones.

Atomic structure:
Cell: 9.053 9.053 3.850 Å, 90.00 90.00 119.91°
Sites, in units of the cell vectors:
Sm 0.000 0.000 0.000
Sm 0.334 0.666 0.500
Sm 0.666 0.334 0.500
Ga 0.000 0.314 0.500
Ga 0.000 0.686 0.500
Ga 0.314 0.000 0.500
Ga 0.315 0.315 0.500
Ga 0.685 0.685 0.500
Ga 0.686 0.000 0.500
Co 0.000 0.500 0.000
Co 0.183 0.367 0.000
Co 0.183 0.817 0.000
Co 0.367 0.183 0.000
Co 0.500 0.000 0.000
Co 0.500 0.500 0.000
Co 0.633 0.817 0.000
Co 0.817 0.183 0.000
Co 0.817 0.633 0.000

Main lines, in order of rising 2θ (15° ≤ 2θ ≤ 90°):
2θ (°), d [Å], Rel. int.
32.59, 2.747, 44
34.30, 2.614, 66
38.32, 2.349, 70
39.81, 2.264, 54
41.76, 2.163, 100
47.21, 1.925, 41

---

Simulated powder diffraction line list of MgRe2Sb2O12 for Cu Kα X-rays, from DFT lattice parameters and positions (GGA-PBE).
Peak positions follow from Bragg's law for the DFT cell and can differ from measured ones.

Atomic structure:
Cell: 5.152 7.471 5.454 Å, 90.00 90.36 90.00°
Sites, in units of the cell vectors:
Mg 0.000 0.000 0.000
Re 0.511 0.256 0.933
Re 0.511 0.744 0.933
Sb 0.015 0.254 0.445
Sb 0.015 0.746 0.445
O 0.123 0.000 0.378
O 0.218 0.293 0.128
O 0.218 0.707 0.128
O 0.343 0.303 0.634
O 0.343 0.697 0.634
O 0.395 0.000 0.910
O 0.596 0.500 0.954
O 0.725 0.189 0.208
O 0.725 0.811 0.208
O 0.835 0.186 0.754
O 0.835 0.814 0.754
O 0.890 0.500 0.460

Main lines, in order of rising 2θ (15° ≤ 2θ ≤ 90°):
2θ (°), d [Å], Rel. int.
23.68, 3.757, 51
23.83, 3.735, 100
32.84, 2.727, 19
33.84, 2.649, 35
33.95, 2.641, 34
54.98, 1.670, 20

---

Repeat the sixth record exactly.
Simulated powder diffraction line list of SmGa2Co3 for Cu Kα X-rays, from DFT lattice parameters and positions (GGA-PBE).
Peak positions follow from Bragg's law for the DFT cell and can differ from measured ones.

Atomic structure:
Cell: 9.053 9.053 3.850 Å, 90.00 90.00 119.91°
Sites, in units of the cell vectors:
Sm 0.000 0.000 0.000
Sm 0.334 0.666 0.500
Sm 0.666 0.334 0.500
Ga 0.000 0.314 0.500
Ga 0.000 0.686 0.500
Ga 0.314 0.000 0.500
Ga 0.315 0.315 0.500
Ga 0.685 0.685 0.500
Ga 0.686 0.000 0.500
Co 0.000 0.500 0.000
Co 0.183 0.367 0.000
Co 0.183 0.817 0.000
Co 0.367 0.183 0.000
Co 0.500 0.000 0.000
Co 0.500 0.500 0.000
Co 0.633 0.817 0.000
Co 0.817 0.183 0.000
Co 0.817 0.633 0.000

Main lines, in order of rising 2θ (15° ≤ 2θ ≤ 90°):
2θ (°), d [Å], Rel. int.
32.59, 2.747, 44
34.30, 2.614, 66
38.32, 2.349, 70
39.81, 2.264, 54
41.76, 2.163, 100
47.21, 1.925, 41

---

Copy entry 5 word for word.
Simulated powder diffraction line list of SrLiP for Cu Kα X-rays, from DFT lattice parameters and positions (GGA-PBE).
Peak positions follow from Bragg's law for the DFT cell and can differ from measured ones.

Atomic structure:
Cell: 4.295 4.295 4.258 Å, 90.00 90.00 120.00°
Sites, in units of the cell vectors:
Sr 0.000 0.000 0.000
Li 0.333 0.667 0.500
P 0.667 0.333 0.500

Main lines, in order of rising 2θ (15° ≤ 2θ ≤ 90°):
2θ (°), d [Å], Rel. int.
23.92, 3.720, 48
31.95, 2.801, 100
42.07, 2.148, 30
53.78, 1.704, 22
61.31, 1.512, 19
70.54, 1.335, 19

---

Repeat the fourth record exactly.
Simulated powder diffraction line list of SrU for Cu Kα X-rays, from DFT lattice parameters and positions (GGA-PBE).
Peak positions follow from Bragg's law for the DFT cell and can differ from measured ones.

Atomic structure:
Cell: 11.559 11.559 11.559 Å, 17.12 17.12 17.12°
Sites, in units of the cell vectors:
Sr 0.000 0.000 0.000
U 0.758 0.758 0.758

Main lines, in order of rising 2θ (15° ≤ 2θ ≤ 90°):
2θ (°), d [Å], Rel. int.
15.56, 5.694, 37
23.44, 3.796, 55
30.10, 2.969, 71
31.80, 2.814, 100
32.78, 2.732, 64
36.78, 2.444, 67